Simulated X-ray powder pattern of PrFeH for Cu Ka, from a structure optimized by DFT (GGA-PBE).
Kinematic intensities with the Lorentz-polarization factor, no thermal factor.

Cell and atoms:
```
data_PrFeH
_cell_length_a 3.2041
_cell_length_b 16.3392
_cell_length_c 3.6207
_cell_angle_alpha 90.00
_cell_angle_beta 90.00
_cell_angle_gamma 90.00
_space_group_name_H-M_alt 'C m c m'
_space_group_IT_number 63
_space_group_name_Hall '-C 2c 2'
loop_
_atom_site_label
_atom_site_type_symbol
_atom_site_fract_x
_atom_site_fract_y
_atom_site_fract_z
Pr1 Pr 0.0000 0.0981 0.2500
Fe1 Fe 0.0000 0.2427 0.7500
H1 H 0.0000 0.4507 0.2500
```

Most intense lines, 2θ = 15–90°, sorted by position:
Position (°2θ)  d/Å  I/Imax
26.94  3.310  66
28.39  3.144  49
32.89  2.723  38
33.06  2.710  23
39.38  2.288  24
41.11  2.196  100